# CeHS
Theoretical powder diffractogram, λ = 1.5418 Å (Cu Kα). Input: a PBE-relaxed structure.
Kinematic intensities with the Lorentz-polarization factor, no thermal factor.

Cell and atoms:
Cell: 3.9283 3.9283 7.4401 Å, 90.00 90.00 120.00°
Space group P6_3/mmc (No. 194)
Symmetry-distinct sites (fractional):
Ce1 0.3333 0.6667 0.2500 [2 per cell]
H1 0.3333 0.6667 0.7500 [2 per cell]
S1 0.0000 0.0000 0.0000 [2 per cell]

The 10 most intense peaks (2θ from 10° to 90°), by intensity:
2θ (°)	I/Imax
28.86	100
35.77	42
45.25	29
46.22	28
23.92	21
69.61	16
55.41	16
52.70	16
74.95	13
84.96	10